Record 1
Starting from a DFT-relaxed cell (PBE, Alexandria), the powder diffractogram of La4Ge2F5 was calculated for copper Kα.

Atomic structure:
a = 28.098 Å, b = 3.925 Å, c = 4.411 Å
α = 90.00°, β = 93.00°, γ = 90.00°
Space group C2/m (No. 12)
One atom of each set of equivalent atoms:
La  0.061  0.000  0.182 (multiplicity 4)
La  0.194  0.000  0.731 (multiplicity 4)
Ge  0.144  0.500  0.216 (multiplicity 4)
F  0.000  0.500  0.000 (multiplicity 2)
F  0.039  0.000  0.672 (multiplicity 4)
F  0.250  0.000  0.250 (multiplicity 4)

Top 8 peaks for 2θ from 15° to 90°, in order of falling intensity:
2θ/deg, d (Å), I (rel.)
31.91, 2.804, 100.0
35.03, 2.561, 58.7
24.42, 3.646, 52.0
23.27, 3.822, 47.7
22.88, 3.887, 47.6
25.39, 3.507, 38.8
46.26, 1.962, 30.2
31.69, 2.824, 29.5

=====

Record 2
Starting from a DFT-relaxed cell (PBE, Alexandria), the powder diffractogram of PmEr4Sb2 was calculated for copper Kα.

Atomic structure:
a = 5.256 Å, b = 5.256 Å, c = 16.351 Å
α = 90.00°, β = 90.00°, γ = 90.00°
Space group I4/mmm (No. 139)
One atom of each set of equivalent atoms:
Pm  0.000  0.000  0.000 (multiplicity 2)
Er  0.000  0.000  0.184 (multiplicity 4)
Er  0.000  0.500  0.000 (multiplicity 4)
Sb  0.000  0.000  0.367 (multiplicity 4)

Top 8 peaks for 2θ from 15° to 90°, in order of falling intensity:
2θ/deg, d (Å), I (rel.)
34.12, 2.628, 100.0
32.24, 2.777, 66.4
26.34, 3.383, 65.4
48.10, 1.892, 45.5
47.65, 1.909, 44.8
32.56, 2.750, 41.7
49.02, 1.858, 36.1
23.94, 3.716, 34.3

=====

Record 3
Starting from a DFT-relaxed cell (PBE, Alexandria), the powder diffractogram of DyTiFe5Co6 was calculated for copper Kα.

Atomic structure:
a = 4.681 Å, b = 8.437 Å, c = 8.382 Å
α = 90.00°, β = 90.00°, γ = 90.00°
Space group Imm2 (No. 44)
One atom of each set of equivalent atoms:
Dy  0.000  0.000  0.000 (multiplicity 2)
Ti  0.000  0.000  0.378 (multiplicity 2)
Fe  0.000  0.500  0.274 (multiplicity 2)
Fe  0.249  0.250  0.750 (multiplicity 8)
Co  0.000  0.000  0.655 (multiplicity 2)
Co  0.000  0.277  0.501 (multiplicity 4)
Co  0.000  0.358  0.003 (multiplicity 4)
Co  0.000  0.500  0.725 (multiplicity 2)

Top 8 peaks for 2θ from 15° to 90°, in order of falling intensity:
2θ/deg, d (Å), I (rel.)
43.34, 2.088, 100.0
44.29, 2.045, 67.6
30.49, 2.932, 40.1
43.17, 2.095, 31.5
42.88, 2.109, 28.2
49.57, 1.839, 23.5
37.30, 2.411, 23.2
37.49, 2.399, 21.2

=====

Record 4
Starting from a DFT-relaxed cell (PBE, Alexandria), the powder diffractogram of KSmMg2Br8 was calculated for copper Kα.

Atomic structure:
a = 6.601 Å, b = 6.887 Å, c = 8.546 Å
α = 89.92°, β = 89.92°, γ = 88.81°
Space group P-1 (No. 2)
One atom of each set of equivalent atoms:
K  0.000  0.000  0.000 (multiplicity 1)
Sm  0.000  0.000  0.500 (multiplicity 1)
Mg  0.500  0.500  0.238 (multiplicity 2)
Br  0.256  0.816  0.273 (multiplicity 2)
Br  0.256  0.816  0.727 (multiplicity 2)
Br  0.274  0.336  0.500 (multiplicity 2)
Br  0.285  0.362  0.000 (multiplicity 2)

Top 8 peaks for 2θ from 15° to 90°, in order of falling intensity:
2θ/deg, d (Å), I (rel.)
28.18, 3.167, 100.0
29.00, 3.079, 44.1
36.60, 2.455, 40.5
44.82, 2.022, 37.8
27.92, 3.196, 26.6
18.43, 4.815, 26.1
42.30, 2.137, 21.7
38.17, 2.358, 19.6

=====

Record 5
Starting from a DFT-relaxed cell (PBE, Alexandria), the powder diffractogram of NaMn2CoS8 was calculated for copper Kα.

Atomic structure:
a = 5.6882 Å, b = 5.6882 Å, c = 26.0217 Å
α = 90.00°, β = 90.00°, γ = 120.00°
Space group R-3 (No. 148, hexagonal axes)
One atom of each set of equivalent atoms:
Na  0.0000  0.0000  0.0000 (multiplicity 3)
Mn  0.0000  0.0000  0.2453 (multiplicity 6)
Co  0.0000  0.0000  0.5000 (multiplicity 3)
S  0.0000  0.0000  0.3239 (multiplicity 6)
S  0.0023  0.3283  0.5493 (multiplicity 18)

Top 8 peaks for 2θ from 15° to 90°, in order of falling intensity:
2θ/deg, d (Å), I (rel.)
22.64, 3.927, 100.0
53.11, 1.724, 60.7
33.15, 2.703, 57.1
37.83, 2.378, 48.1
56.00, 1.642, 47.3
31.45, 2.844, 36.5
30.93, 2.891, 26.2
18.33, 4.840, 25.5

=====

Record 6
Starting from a DFT-relaxed cell (PBE, Alexandria), the powder diffractogram of LiTlSb was calculated for copper Kα.

Atomic structure:
a = 6.670 Å, b = 7.449 Å, c = 6.282 Å
α = 90.00°, β = 90.00°, γ = 90.00°
Space group Ima2 (No. 46)
One atom of each set of equivalent atoms:
Li  0.000  0.000  0.000 (multiplicity 4)
Tl  0.250  0.139  0.497 (multiplicity 4)
Sb  0.250  0.750  0.250 (multiplicity 4)

Top 8 peaks for 2θ from 15° to 90°, in order of falling intensity:
2θ/deg, d (Å), I (rel.)
33.76, 2.655, 100.0
30.97, 2.888, 64.4
26.73, 3.335, 60.6
51.88, 1.762, 45.3
18.48, 4.802, 43.8
64.55, 1.444, 26.2
32.69, 2.739, 25.8
38.70, 2.327, 22.5

=====

Record 7
Starting from a DFT-relaxed cell (PBE, Alexandria), the powder diffractogram of Th3UFe4 was calculated for copper Kα.

Atomic structure:
a = 11.274 Å, b = 7.355 Å, c = 7.921 Å
α = 90.00°, β = 90.00°, γ = 90.00°
Space group Pnma (No. 62)
One atom of each set of equivalent atoms:
Th  0.088  0.250  0.212 (multiplicity 4)
Th  0.165  0.011  0.620 (multiplicity 8)
U  0.060  0.750  0.170 (multiplicity 4)
Fe  0.034  0.750  0.443 (multiplicity 4)
Fe  0.105  0.567  0.950 (multiplicity 8)
Fe  0.229  0.250  0.905 (multiplicity 4)

Top 8 peaks for 2θ from 15° to 90°, in order of falling intensity:
2θ/deg, d (Å), I (rel.)
31.16, 2.871, 100.0
33.76, 2.655, 44.5
23.81, 3.737, 40.7
28.99, 3.080, 36.2
42.92, 2.107, 33.0
35.99, 2.495, 23.9
37.62, 2.391, 23.6
49.57, 1.839, 17.8

=====

Record 8
Starting from a DFT-relaxed cell (PBE, Alexandria), the powder diffractogram of FeCuMoHSe was calculated for copper Kα.

Atomic structure:
a = 3.023 Å, b = 3.315 Å, c = 13.437 Å
α = 90.00°, β = 90.00°, γ = 90.00°
Space group Imm2 (No. 44)
One atom of each set of equivalent atoms:
Fe  0.000  0.000  0.000 (multiplicity 2)
Cu  0.000  0.000  0.218 (multiplicity 2)
Mo  0.000  0.000  0.602 (multiplicity 2)
H  0.000  0.500  0.201 (multiplicity 2)
Se  0.000  0.000  0.410 (multiplicity 2)

Top 8 peaks for 2θ from 15° to 90°, in order of falling intensity:
2θ/deg, d (Å), I (rel.)
40.38, 2.233, 100.0
43.34, 2.088, 77.3
45.14, 2.008, 69.4
74.18, 1.278, 29.7
78.06, 1.224, 25.6
27.72, 3.218, 23.8
30.31, 2.949, 19.3
55.44, 1.657, 19.2